Starting from a cell relaxed with PBE, the PXRD pattern of TbUTe4 was calculated for Cu Kα, 1.54184 Å.
Neutral-atom scattering factors, no anomalous dispersion.

Cell and atoms:
```
data_TbUTe4
_chemical_formula_sum 'Tb2 U2 Te8'
_symmetry_space_group_name_H-M 'P 1'
_symmetry_Int_Tables_number 1
_cell_length_a 4.2164
_cell_length_b 6.1042
_cell_length_c 14.1872
_cell_angle_alpha 90.00
_cell_angle_beta 90.00
_cell_angle_gamma 90.00
loop_
_symmetry_equiv_pos_as_xyz
'x,y,z'
loop_
_atom_site_label
_atom_site_fract_x
_atom_site_fract_y
_atom_site_fract_z
Tb1 0.0000 0.0000 0.0000
Tb2 0.5000 0.5000 0.5000
U1 0.0000 0.0000 0.2757
U2 0.5000 0.5000 0.7757
Te1 0.0000 0.2521 0.6413
Te2 0.0000 0.5000 0.3411
Te3 0.0000 0.5000 0.9327
Te4 0.0000 0.7479 0.6413
Te5 0.5000 0.0000 0.4327
Te6 0.5000 0.0000 0.8411
Te7 0.5000 0.2479 0.1413
Te8 0.5000 0.7521 0.1413
```

Largest 12 diffraction maxima, in order of rising 2θ, 10° ≤ 2θ ≤ 80°:
(0 1 1), 2θ 15.81, d = 5.607 Å, intensity 23.6
(1 0 3), 2θ 28.36, d = 3.147 Å, intensity 100.0
(0 2 2), 2θ 31.92, d = 2.804 Å, intensity 34.1
(0 1 5), 2θ 34.87, d = 2.573 Å, intensity 15.1
(1 1 4), 2θ 36.22, d = 2.480 Å, intensity 39.5
(1 2 1), 2θ 36.90, d = 2.436 Å, intensity 55.3
(0 2 4), 2θ 38.93, d = 2.313 Å, intensity 19.3
(2 0 0), 2θ 42.90, d = 2.108 Å, intensity 21.6
(0 1 7), 2θ 47.26, d = 1.923 Å, intensity 15.4
(2 2 2), 2θ 54.46, d = 1.685 Å, intensity 14.9
(2 1 7), 2θ 65.71, d = 1.421 Å, intensity 11.6
(1 4 3), 2θ 68.31, d = 1.373 Å, intensity 16.5